Computed XRD peak list of Cd2GaCuSe4 for Cu Kα X-rays, from a cell relaxed with PBE.

Crystal structure
```
data_Cd2GaCuSe4
_cell_length_a 5.9234
_cell_length_b 5.9234
_cell_length_c 11.8668
_cell_angle_alpha 90.00
_cell_angle_beta 90.00
_cell_angle_gamma 90.00
_symmetry_space_group_name_H-M 'I -4 2 m'
_symmetry_Int_Tables_number 121
_symmetry_space_group_name_Hall 'I -4 2'
loop_
_atom_site_label
_atom_site_fract_x
_atom_site_fract_y
_atom_site_fract_z
Cd1 0.0000 0.5000 0.2500
Ga1 0.0000 0.0000 0.0000
Cu1 0.0000 0.0000 0.5000
Se1 0.2504 0.2504 0.3896
```

Most intense lines, 10 to 90 degrees two-theta, sorted by position:
| two_theta | d [Å] | I/Imax | hkl |
| --- | --- | --- | --- |
| 26.04 | 3.422 | 100.0 | 1 1 2 |
| 33.83 | 2.650 | 4.4 | 2 0 2 |
| 43.17 | 2.095 | 72.9 | 2 2 0 |
| 51.12 | 1.787 | 43.7 | 3 1 2 |
| 62.74 | 1.481 | 8.0 | 4 0 0 |
| 69.08 | 1.360 | 16.5 | 3 3 2 |
| 79.18 | 1.210 | 21.6 | 4 2 4 |
| 85.08 | 1.140 | 9.8 | 5 1 2 |

---

Computed XRD peak list of Na3TaSi3SnO12 for Cu Kα X-rays, from a cell relaxed with PBE.

Crystal structure
```
data_Na3TaSi3SnO12
_cell_length_a 15.7189
_cell_length_b 9.0809
_cell_length_c 9.0664
_cell_angle_alpha 90.00
_cell_angle_beta 124.97
_cell_angle_gamma 90.00
_symmetry_space_group_name_H-M 'C 1 c 1'
_symmetry_Int_Tables_number 9
_symmetry_space_group_name_Hall 'C -2yc'
loop_
_atom_site_label
_atom_site_fract_x
_atom_site_fract_y
_atom_site_fract_z
Na1 0.0000 0.0545 0.0000
Na2 0.0615 0.2738 0.7066
Na3 0.3092 0.1143 0.9580
Ta1 0.2022 0.2536 0.1444
Si1 0.1634 0.1070 0.4688
Si2 0.3083 0.4594 0.9666
Si3 0.4530 0.1053 0.4566
Sn1 0.4140 0.2492 0.7764
O1 0.0501 0.3072 0.9720
O2 0.0635 0.1681 0.4609
O3 0.1590 0.0765 0.9727
O4 0.1652 0.1440 0.2907
O5 0.2239 0.3552 0.9708
O6 0.2444 0.4265 0.2937
O7 0.2674 0.1655 0.6533
O8 0.3446 0.1707 0.2736
O9 0.3852 0.4466 0.6492
O10 0.3873 0.3497 0.9560
O11 0.4518 0.1405 0.6296
O12 0.4615 0.0729 0.9536
```

Most intense lines, 10 to 90 degrees two-theta, sorted by position:
| two_theta | d [Å] | I/Imax | hkl |
| --- | --- | --- | --- |
| 13.78 | 6.425 | 13.4 | 2 0 0 |
| 19.54 | 4.543 | 100.0 | 0 2 0 |
| 27.81 | 3.208 | 16.1 | 2 2 -2 |
| 31.07 | 2.878 | 24.7 | 3 1 1 |
| 31.19 | 2.868 | 13.4 | 3 1 -3 |
| 34.15 | 2.626 | 13.5 | 4 2 0 |
| 34.23 | 2.620 | 29.9 | 6 0 -2 |
| 44.65 | 2.029 | 13.5 | 2 4 -2 |

---

Computed XRD peak list of Cd3AsCl3 for Cu Kα X-rays, from a cell relaxed with PBE.

Crystal structure
```
data_Cd3AsCl3
_cell_length_a 13.4682
_cell_length_b 8.2781
_cell_length_c 7.2246
_cell_angle_alpha 90.00
_cell_angle_beta 90.00
_cell_angle_gamma 90.00
_symmetry_space_group_name_H-M 'P n m a'
_symmetry_Int_Tables_number 62
_symmetry_space_group_name_Hall '-P 2ac 2n'
loop_
_atom_site_label
_atom_site_fract_x
_atom_site_fract_y
_atom_site_fract_z
Cd1 0.0000 0.0000 0.0000
Cd2 0.0884 0.2500 0.4979
Cd3 0.2387 0.7500 0.5050
As1 0.0839 0.2500 0.1419
Cl1 0.0816 0.7500 0.3096
Cl2 0.1673 0.0216 0.6936
```

Most intense lines, 10 to 90 degrees two-theta, sorted by position:
| two_theta | d [Å] | I/Imax | hkl |
| --- | --- | --- | --- |
| 16.97 | 5.224 | 38.9 | 2 1 0 |
| 17.57 | 5.047 | 28.8 | 1 1 1 |
| 23.33 | 3.813 | 33.4 | 3 0 1 |
| 24.65 | 3.612 | 28.0 | 0 0 2 |
| 25.69 | 3.467 | 100.0 | 1 2 1 |
| 35.58 | 2.523 | 43.7 | 2 2 2 |
| 44.04 | 2.056 | 72.9 | 3 1 3 |
| 46.00 | 1.973 | 44.7 | 6 2 0 |